(1)
NaHg3: computed powder diffractogram (Cu Kα X-rays), based on a cell relaxed with GGA-PBE.
No peak broadening, texture or thermal motion is included.

Most intense lines, 2θ = 10–90°, by intensity:
| 2theta | I (rel.) |
| --- | --- |
| 35.1 | 100 |
| 32.5 | 27 |
| 22.3 | 24 |
| 30.9 | 23 |
| 65.4 | 22 |
| 59.7 | 22 |
| 55.0 | 19 |
| 45.5 | 16 |
| 67.0 | 16 |
| 26.7 | 10 |
| 15.3 | 9 |
| 85.5 | 8 |

Crystal structure
```
data_NaHg3
_symmetry_space_group_name_H-M 'P 63/m m c'
_symmetry_Int_Tables_number 194
_symmetry_space_group_name_Hall '-P 6c 2c'
_cell_length_a 6.6733
_cell_length_b 6.6733
_cell_length_c 5.5080
_cell_angle_alpha 90.00
_cell_angle_beta 90.00
_cell_angle_gamma 120.00
loop_
_atom_site_label
_atom_site_type_symbol
_atom_site_fract_x
_atom_site_fract_y
_atom_site_fract_z
_atom_site_occupancy
Na1 Na 0.3333 0.6667 0.2500 1
Hg1 Hg 0.1672 0.3344 0.7500 1
```


(2)
Dy3Cu11Si4: computed powder diffractogram (Cu Kα X-rays), based on a cell relaxed with GGA-PBE.
No peak broadening, texture or thermal motion is included.

Most intense lines, 2θ = 10–90°, by intensity:
| 2theta | I (rel.) |
| --- | --- |
| 40.0 | 100 |
| 38.5 | 73 |
| 42.9 | 61 |
| 38.8 | 52 |
| 24.4 | 27 |
| 26.5 | 23 |
| 45.6 | 22 |
| 67.8 | 19 |
| 66.6 | 17 |
| 20.6 | 17 |
| 42.7 | 17 |
| 71.4 | 16 |

Crystal structure
```
data_Dy3Cu11Si4
_symmetry_space_group_name_H-M 'P 63/m m c'
_symmetry_Int_Tables_number 194
_symmetry_space_group_name_Hall '-P 6c 2c'
_cell_length_a 8.4252
_cell_length_b 8.4252
_cell_length_c 8.6092
_cell_angle_alpha 90.00
_cell_angle_beta 90.00
_cell_angle_gamma 120.00
loop_
_atom_site_label
_atom_site_type_symbol
_atom_site_fract_x
_atom_site_fract_y
_atom_site_fract_z
_atom_site_occupancy
Dy1 Dy 0.1979 0.3958 0.2500 1
Cu1 Cu 0.1311 0.5656 0.7500 1
Cu2 Cu 0.1528 0.3056 0.5898 1
Cu3 Cu 0.3333 0.6667 0.5075 1
Si1 Si 0.0000 0.0000 0.2500 1
Si2 Si 0.0000 0.5000 0.0000 1
```


(3)
NaGdH2S2O9: computed powder diffractogram (Cu Kα X-rays), based on a cell relaxed with GGA-PBE.
No peak broadening, texture or thermal motion is included.

Most intense lines, 2θ = 10–90°, by intensity:
| 2theta | I (rel.) |
| --- | --- |
| 16.1 | 100 |
| 31.5 | 62 |
| 29.4 | 59 |
| 14.6 | 46 |
| 48.7 | 40 |
| 25.4 | 37 |
| 41.7 | 25 |
| 53.4 | 24 |
| 37.9 | 20 |
| 36.2 | 17 |
| 20.7 | 16 |
| 39.8 | 15 |

Crystal structure
```
data_NaGdH2S2O9
_symmetry_space_group_name_H-M 'P 31 2 1'
_symmetry_Int_Tables_number 152
_cell_length_a 7.0240
_cell_length_b 7.0240
_cell_length_c 12.8668
_cell_angle_alpha 90.00
_cell_angle_beta 90.00
_cell_angle_gamma 120.00
loop_
_symmetry_equiv_pos_as_xyz
'x,y,z'
'-y,x-y,z+1/3'
'-x+y,-x,z+2/3'
'y,x,-z'
'x-y,-y,-z+2/3'
'-x,-x+y,-z+1/3'
loop_
_atom_site_label
_atom_site_type_symbol
_atom_site_fract_x
_atom_site_fract_y
_atom_site_fract_z
_atom_site_occupancy
Na1 Na 0.0000 0.5292 0.1667 1
Gd1 Gd 0.0000 0.5588 0.6667 1
H1 H 0.0347 0.0980 0.2932 1
S1 S 0.0135 0.5566 0.4257 1
O1 O 0.0000 0.9045 0.6667 1
O2 O 0.1247 0.5045 0.9823 1
O3 O 0.1251 0.7386 0.8398 1
O4 O 0.1319 0.4875 0.4997 1
O5 O 0.1687 0.7526 0.3643 1
```


(4)
Ca3ReO6: computed powder diffractogram (Cu Kα X-rays), based on a cell relaxed with GGA-PBE.
No peak broadening, texture or thermal motion is included.

Most intense lines, 2θ = 10–90°, by intensity:
| 2theta | I (rel.) |
| --- | --- |
| 31.3 | 100 |
| 22.0 | 62 |
| 18.7 | 57 |
| 19.4 | 47 |
| 44.9 | 38 |
| 56.8 | 24 |
| 30.5 | 24 |
| 50.5 | 22 |
| 32.1 | 22 |
| 54.8 | 18 |
| 37.4 | 17 |
| 36.4 | 16 |

Crystal structure
```
data_Ca3ReO6
_symmetry_space_group_name_H-M 'P 1 21/c 1'
_symmetry_Int_Tables_number 14
_cell_length_a 5.5746
_cell_length_b 5.8585
_cell_length_c 9.8048
_cell_angle_alpha 90.00
_cell_angle_beta 124.58
_cell_angle_gamma 90.00
loop_
_symmetry_equiv_pos_as_xyz
'x,y,z'
'-x,-y,-z'
'-x,y+1/2,-z+1/2'
'x,-y+1/2,z+1/2'
loop_
_atom_site_label
_atom_site_type_symbol
_atom_site_fract_x
_atom_site_fract_y
_atom_site_fract_z
_atom_site_occupancy
Ca1 Ca 0.0000 0.0000 0.0000 1
Ca2 Ca 0.2274 0.0586 0.7434 1
Re1 Re 0.5000 0.0000 0.5000 1
O1 O 0.1649 0.1762 0.4497 1
O2 O 0.2622 0.7244 0.4295 1
O3 O 0.3885 0.0526 0.2743 1
```


(5)
Mg14FeSn: computed powder diffractogram (Cu Kα X-rays), based on a cell relaxed with GGA-PBE.
No peak broadening, texture or thermal motion is included.

Most intense lines, 2θ = 10–90°, by intensity:
| 2theta | I (rel.) |
| --- | --- |
| 37.7 | 100 |
| 16.5 | 32 |
| 33.3 | 27 |
| 35.0 | 26 |
| 24.0 | 22 |
| 64.6 | 19 |
| 70.9 | 19 |
| 49.1 | 18 |
| 59.5 | 17 |
| 72.6 | 14 |
| 33.7 | 10 |
| 48.1 | 9 |

Crystal structure
```
data_Mg14FeSn
_symmetry_space_group_name_H-M 'P -6 m 2'
_symmetry_Int_Tables_number 187
_symmetry_space_group_name_Hall 'P -6 2'
_cell_length_a 6.2182
_cell_length_b 6.2182
_cell_length_c 10.2515
_cell_angle_alpha 90.00
_cell_angle_beta 90.00
_cell_angle_gamma 120.00
loop_
_atom_site_label
_atom_site_type_symbol
_atom_site_fract_x
_atom_site_fract_y
_atom_site_fract_z
_atom_site_occupancy
Mg1 Mg 0.0000 0.0000 0.2487 1
Mg2 Mg 0.0105 0.5053 0.2642 1
Mg3 Mg 0.3298 0.1649 0.5000 1
Mg4 Mg 0.3345 0.1672 0.0000 1
Fe1 Fe 0.3333 0.6667 0.5000 1
Sn1 Sn 0.3333 0.6667 0.0000 1
```


(6)
BaMgAl3P2H2O14: computed powder diffractogram (Cu Kα X-rays), based on a cell relaxed with GGA-PBE.
No peak broadening, texture or thermal motion is included.

Most intense lines, 2θ = 10–90°, by intensity:
| 2theta | I (rel.) |
| --- | --- |
| 28.4 | 100 |
| 15.5 | 98 |
| 29.8 | 87 |
| 14.9 | 68 |
| 29.3 | 51 |
| 15.2 | 51 |
| 25.3 | 50 |
| 17.7 | 43 |
| 24.5 | 40 |
| 35.6 | 34 |
| 27.3 | 32 |
| 37.3 | 32 |

Crystal structure
```
data_BaMgAl3P2H2O14
_symmetry_space_group_name_H-M 'P 1'
_symmetry_Int_Tables_number 1
_cell_length_a 6.8955
_cell_length_b 7.0713
_cell_length_c 7.2959
_cell_angle_alpha 63.07
_cell_angle_beta 89.99
_cell_angle_gamma 63.03
loop_
_symmetry_equiv_pos_as_xyz
'x,y,z'
loop_
_atom_site_label
_atom_site_type_symbol
_atom_site_fract_x
_atom_site_fract_y
_atom_site_fract_z
_atom_site_occupancy
Ba1 Ba 0.0000 0.0000 0.0000 1
Mg1 Mg 0.5261 0.1967 0.1556 1
Al1 Al 0.3790 0.5442 0.5151 1
Al2 Al 0.8469 0.5823 0.4852 1
Al3 Al 0.8916 0.0318 0.4938 1
P1 P 0.1341 0.4965 0.8722 1
P2 P 0.5910 0.6148 0.1120 1
H1 H 0.1725 0.4215 0.3448 1
H2 H 0.5410 0.7054 0.6695 1
O1 O 0.0157 0.7758 0.7833 1
O2 O 0.1393 0.8706 0.4176 1
O3 O 0.1548 0.4686 0.4543 1
O4 O 0.2015 0.3508 0.1178 1
O5 O 0.3708 0.3997 0.8163 1
O6 O 0.4002 0.6362 0.2329 1
O7 O 0.4857 0.7750 0.8761 1
O8 O 0.5653 0.6537 0.5605 1
O9 O 0.6738 0.2248 0.6020 1
O10 O 0.7269 0.3279 0.1848 1
O11 O 0.7398 0.6858 0.1963 1
O12 O 0.7741 0.9021 0.3961 1
O13 O 0.8809 0.2560 0.5687 1
O14 O 0.9830 0.4369 0.7806 1
```


(7)
ZnAg2SnSe4: computed powder diffractogram (Cu Kα X-rays), based on a cell relaxed with GGA-PBE.
No peak broadening, texture or thermal motion is included.

Most intense lines, 2θ = 10–90°, by intensity:
| 2theta | I (rel.) |
| --- | --- |
| 25.6 | 100 |
| 42.0 | 51 |
| 50.9 | 29 |
| 43.3 | 24 |
| 48.7 | 17 |
| 78.5 | 16 |
| 67.2 | 12 |
| 75.8 | 8 |
| 62.8 | 8 |
| 85.0 | 7 |
| 69.0 | 6 |
| 58.9 | 4 |

Crystal structure
```
data_ZnAg2SnSe4
_symmetry_space_group_name_H-M 'I -4 2 m'
_symmetry_Int_Tables_number 121
_symmetry_space_group_name_Hall 'I -4 2'
_cell_length_a 5.9165
_cell_length_b 5.9165
_cell_length_c 12.5395
_cell_angle_alpha 90.00
_cell_angle_beta 90.00
_cell_angle_gamma 90.00
loop_
_atom_site_label
_atom_site_type_symbol
_atom_site_fract_x
_atom_site_fract_y
_atom_site_fract_z
_atom_site_occupancy
Zn1 Zn 0.0000 0.0000 0.0000 1
Ag1 Ag 0.0000 0.5000 0.2500 1
Sn1 Sn 0.0000 0.0000 0.5000 1
Se1 Se 0.2434 0.2434 0.1192 1
```


(8)
TiS2: computed powder diffractogram (Cu Kα X-rays), based on a cell relaxed with GGA-PBE.
No peak broadening, texture or thermal motion is included.

Most intense lines, 2θ = 10–90°, by intensity:
| 2theta | I (rel.) |
| --- | --- |
| 50.4 | 100 |
| 33.4 | 92 |
| 36.6 | 54 |
| 25.7 | 46 |
| 42.6 | 44 |
| 57.4 | 30 |
| 29.7 | 28 |
| 70.1 | 25 |
| 83.7 | 24 |
| 72.1 | 14 |
| 52.8 | 13 |
| 87.4 | 11 |

Crystal structure
```
data_TiS2
_symmetry_space_group_name_H-M 'P a -3'
_symmetry_Int_Tables_number 205
_symmetry_space_group_name_Hall '-P 2ac 2ab 3'
_cell_length_a 6.0066
_cell_length_b 6.0066
_cell_length_c 6.0066
_cell_angle_alpha 90.00
_cell_angle_beta 90.00
_cell_angle_gamma 90.00
loop_
_atom_site_label
_atom_site_type_symbol
_atom_site_fract_x
_atom_site_fract_y
_atom_site_fract_z
_atom_site_occupancy
Ti1 Ti 0.0000 0.0000 0.0000 1
S1 S 0.1420 0.6420 0.8580 1
```


Question: What is the formula in the seventh record?
Answer: ZnAg2SnSe4